[1]
Theoretical XRD peak list of U3Co3Sb4 for Cu Ka, from DFT lattice parameters and positions (PBE).
Lines closer than 0.1° are merged.

Peak list (10 most intense, 2θ = 15–90°, in order of falling intensity)
2.490 Å, 36.07 deg, rel. 100
2.946 Å, 30.34 deg, rel. 66
2.083 Å, 43.43 deg, rel. 43
1.512 Å, 61.33 deg, rel. 26
1.268 Å, 74.89 deg, rel. 18
3.804 Å, 23.39 deg, rel. 17
1.987 Å, 45.67 deg, rel. 16
1.902 Å, 47.82 deg, rel. 15
1.438 Å, 64.85 deg, rel. 12
1.473 Å, 63.11 deg, rel. 12

Structural model:
a = 8.069 Å, b = 8.069 Å, c = 8.069 Å
α = 109.47°, β = 109.47°, γ = 109.47°
Fractional positions:
U: 0.125 0.875 0.250
U: 0.250 0.125 0.875
U: 0.375 0.625 0.750
U: 0.625 0.750 0.375
U: 0.750 0.375 0.625
U: 0.875 0.250 0.125
Co: 0.125 0.750 0.875
Co: 0.250 0.625 0.375
Co: 0.375 0.250 0.625
Co: 0.625 0.375 0.250
Co: 0.750 0.875 0.125
Co: 0.875 0.125 0.750
Sb: 0.000 0.166 0.500
Sb: 0.000 0.666 0.500
Sb: 0.166 0.500 0.000
Sb: 0.334 0.334 0.334
Sb: 0.500 0.000 0.166
Sb: 0.500 0.000 0.666
Sb: 0.666 0.500 0.000
Sb: 0.834 0.834 0.834

***

[2]
Theoretical XRD peak list of GdBi3 for Cu Ka, from DFT lattice parameters and positions (PBE).
Lines closer than 0.1° are merged.

Peak list (10 most intense, 2θ = 15–90°, in order of falling intensity)
2.826 Å, 31.66 deg, rel. 100
2.343 Å, 38.43 deg, rel. 30
1.429 Å, 65.29 deg, rel. 26
1.772 Å, 51.58 deg, rel. 26
2.709 Å, 33.06 deg, rel. 22
1.586 Å, 58.18 deg, rel. 18
1.145 Å, 84.60 deg, rel. 13
1.413 Å, 66.12 deg, rel. 13
1.656 Å, 55.47 deg, rel. 11
1.173 Å, 82.21 deg, rel. 7

Structural model:
a = 6.351 Å, b = 6.351 Å, c = 6.351 Å
α = 136.71°, β = 136.71°, γ = 62.88°
Fractional positions:
Gd: 0.000 0.000 0.000
Bi: 0.250 0.750 0.500
Bi: 0.500 0.500 0.000
Bi: 0.750 0.250 0.500

***

[3]
Theoretical XRD peak list of SrHfO3 for Cu Ka, from DFT lattice parameters and positions (PBE).
Lines closer than 0.1° are merged.

Peak list (10 most intense, 2θ = 15–90°, in order of falling intensity)
2.928 Å, 30.53 deg, rel. 100
1.691 Å, 54.26 deg, rel. 41
2.070 Å, 43.72 deg, rel. 30
4.141 Å, 21.46 deg, rel. 22
1.464 Å, 63.55 deg, rel. 18
1.107 Å, 88.28 deg, rel. 14
1.309 Å, 72.18 deg, rel. 12
1.852 Å, 49.20 deg, rel. 10
1.106 Å, 88.37 deg, rel. 7
1.195 Å, 80.32 deg, rel. 6

Structural model:
a = 4.138 Å, b = 4.138 Å, c = 4.147 Å
α = 90.00°, β = 90.00°, γ = 90.00°
Fractional positions:
Sr: 0.000 0.000 0.000
Hf: 0.500 0.500 0.478
O: 0.000 0.500 0.460
O: 0.500 0.000 0.460
O: 0.500 0.500 0.971

***

[4]
Theoretical XRD peak list of RbAlS2O8 for Cu Ka, from DFT lattice parameters and positions (PBE).
Lines closer than 0.1° are merged.

Peak list (10 most intense, 2θ = 15–90°, in order of falling intensity)
3.816 Å, 23.31 deg, rel. 100
3.002 Å, 29.76 deg, rel. 84
2.471 Å, 36.36 deg, rel. 39
4.280 Å, 20.75 deg, rel. 27
1.908 Å, 47.67 deg, rel. 27
1.510 Å, 61.39 deg, rel. 20
2.808 Å, 31.87 deg, rel. 18
1.890 Å, 48.15 deg, rel. 16
2.371 Å, 37.95 deg, rel. 16
1.501 Å, 61.81 deg, rel. 11

Structural model:
a = 4.942 Å, b = 4.942 Å, c = 8.424 Å
α = 90.00°, β = 90.00°, γ = 120.00°
Fractional positions:
Rb: 0.000 0.000 0.000
Al: 0.000 0.000 0.500
S: 0.333 0.667 0.699
S: 0.667 0.333 0.301
O: 0.121 0.345 0.639
O: 0.223 0.879 0.639
O: 0.333 0.667 0.872
O: 0.345 0.121 0.361
O: 0.655 0.777 0.639
O: 0.667 0.333 0.128
O: 0.777 0.655 0.361
O: 0.879 0.223 0.361

***

[5]
Theoretical XRD peak list of Dy2Co3Ge5 for Cu Ka, from DFT lattice parameters and positions (PBE).
Lines closer than 0.1° are merged.

Peak list (10 most intense, 2θ = 15–90°, in order of falling intensity)
2.498 Å, 35.95 deg, rel. 100
2.516 Å, 35.68 deg, rel. 83
2.053 Å, 44.12 deg, rel. 75
2.423 Å, 37.11 deg, rel. 40
2.561 Å, 35.04 deg, rel. 36
2.410 Å, 37.32 deg, rel. 19
1.601 Å, 57.55 deg, rel. 16
1.429 Å, 65.30 deg, rel. 16
2.858 Å, 31.30 deg, rel. 16
1.762 Å, 51.91 deg, rel. 14

Structural model:
a = 8.081 Å, b = 8.081 Å, c = 5.720 Å
α = 109.49°, β = 109.49°, γ = 93.79°
Fractional positions:
Dy: 0.092 0.372 0.233
Dy: 0.372 0.092 0.733
Dy: 0.628 0.908 0.267
Dy: 0.908 0.628 0.767
Co: 0.043 0.762 0.380
Co: 0.238 0.957 0.120
Co: 0.497 0.503 0.250
Co: 0.503 0.497 0.750
Co: 0.762 0.043 0.880
Co: 0.957 0.238 0.620
Ge: 0.009 0.991 0.750
Ge: 0.238 0.421 0.827
Ge: 0.274 0.726 0.750
Ge: 0.287 0.713 0.250
Ge: 0.421 0.238 0.327
Ge: 0.579 0.762 0.673
Ge: 0.713 0.287 0.750
Ge: 0.726 0.274 0.250
Ge: 0.762 0.579 0.173
Ge: 0.991 0.009 0.250

***

[6]
Theoretical XRD peak list of U12Ir4Se31 for Cu Ka, from DFT lattice parameters and positions (PBE).
Lines closer than 0.1° are merged.

Peak list (10 most intense, 2θ = 15–90°, in order of falling intensity)
2.501 Å, 35.91 deg, rel. 100
2.686 Å, 33.36 deg, rel. 99
2.421 Å, 37.13 deg, rel. 65
2.349 Å, 38.31 deg, rel. 61
1.865 Å, 48.83 deg, rel. 39
3.228 Å, 27.64 deg, rel. 32
3.425 Å, 26.02 deg, rel. 30
1.863 Å, 48.90 deg, rel. 27
5.593 Å, 15.85 deg, rel. 27
1.613 Å, 57.11 deg, rel. 23

Structural model:
a = 11.862 Å, b = 11.862 Å, c = 11.862 Å
α = 109.55°, β = 109.55°, γ = 109.31°
Fractional positions:
U: 0.091 0.795 0.296
U: 0.199 0.199 0.397
U: 0.199 0.801 0.000
U: 0.205 0.501 0.296
U: 0.205 0.909 0.704
U: 0.499 0.795 0.704
U: 0.501 0.205 0.296
U: 0.795 0.091 0.296
U: 0.795 0.499 0.704
U: 0.801 0.199 0.000
U: 0.801 0.801 0.603
U: 0.909 0.205 0.704
Ir: 0.000 0.000 0.500
Ir: 0.000 0.500 0.000
Ir: 0.500 0.000 0.000
Ir: 0.500 0.500 0.500
Se: 0.000 0.000 0.000
Se: 0.000 0.265 0.265
Se: 0.000 0.735 0.735
Se: 0.061 0.061 0.749
Se: 0.061 0.312 0.000
Se: 0.064 0.245 0.563
Se: 0.064 0.501 0.818
Se: 0.245 0.064 0.563
Se: 0.245 0.683 0.182
Se: 0.250 0.750 0.500
Se: 0.265 0.000 0.265
Se: 0.312 0.061 0.000
Se: 0.312 0.312 0.251
Se: 0.317 0.499 0.563
Se: 0.317 0.755 0.818
Se: 0.499 0.317 0.563
Se: 0.499 0.936 0.182
Se: 0.501 0.064 0.818
Se: 0.501 0.683 0.437
Se: 0.683 0.245 0.182
Se: 0.683 0.501 0.437
Se: 0.688 0.688 0.749
Se: 0.688 0.939 0.000
Se: 0.735 0.000 0.735
Se: 0.750 0.250 0.500
Se: 0.755 0.317 0.818
Se: 0.755 0.936 0.437
Se: 0.936 0.499 0.182
Se: 0.936 0.755 0.437
Se: 0.939 0.688 0.000
Se: 0.939 0.939 0.251

***

[7]
Theoretical XRD peak list of La3TaO7 for Cu Ka, from DFT lattice parameters and positions (PBE).
Lines closer than 0.1° are merged.

Peak list (10 most intense, 2θ = 15–90°, in order of falling intensity)
3.207 Å, 27.82 deg, rel. 100
3.157 Å, 28.27 deg, rel. 91
1.956 Å, 46.42 deg, rel. 68
2.732 Å, 32.78 deg, rel. 43
1.662 Å, 55.28 deg, rel. 30
2.804 Å, 31.91 deg, rel. 24
1.641 Å, 56.04 deg, rel. 17
1.679 Å, 54.66 deg, rel. 11
1.687 Å, 54.40 deg, rel. 11
1.274 Å, 74.50 deg, rel. 10

Structural model:
a = 6.786 Å, b = 6.786 Å, c = 7.818 Å
α = 90.00°, β = 90.00°, γ = 68.52°
Fractional positions:
La: 0.000 0.000 0.000
La: 0.000 0.000 0.500
La: 0.068 0.477 0.750
La: 0.477 0.068 0.250
La: 0.523 0.932 0.750
La: 0.932 0.523 0.250
Ta: 0.500 0.500 0.000
Ta: 0.500 0.500 0.500
O: 0.107 0.154 0.250
O: 0.154 0.107 0.750
O: 0.189 0.561 0.032
O: 0.189 0.561 0.468
O: 0.438 0.562 0.750
O: 0.439 0.811 0.032
O: 0.439 0.811 0.468
O: 0.561 0.189 0.532
O: 0.561 0.189 0.968
O: 0.562 0.438 0.250
O: 0.811 0.439 0.532
O: 0.811 0.439 0.968
O: 0.846 0.893 0.250
O: 0.893 0.846 0.750

***

[8]
Theoretical XRD peak list of Ba2Ga2O5 for Cu Ka, from DFT lattice parameters and positions (PBE).
Lines closer than 0.1° are merged.

Peak list (10 most intense, 2θ = 15–90°, in order of falling intensity)
2.879 Å, 31.06 deg, rel. 100
2.827 Å, 31.65 deg, rel. 41
1.642 Å, 56.00 deg, rel. 37
1.999 Å, 45.37 deg, rel. 27
1.673 Å, 54.89 deg, rel. 16
1.440 Å, 64.76 deg, rel. 16
2.336 Å, 38.53 deg, rel. 15
2.075 Å, 43.63 deg, rel. 14
1.094 Å, 89.61 deg, rel. 9
1.414 Å, 66.10 deg, rel. 8

Structural model:
a = 3.998 Å, b = 3.998 Å, c = 8.298 Å
α = 90.00°, β = 90.00°, γ = 90.00°
Fractional positions:
Ba: 0.000 0.000 0.000
Ba: 0.000 0.000 0.500
Ga: 0.500 0.500 0.229
Ga: 0.500 0.500 0.771
O: 0.000 0.500 0.270
O: 0.000 0.500 0.730
O: 0.500 0.000 0.270
O: 0.500 0.000 0.730
O: 0.500 0.500 0.000